# BaNpNiO6
Theoretical powder X-ray diffraction pattern, CuKα. Input: a structure optimized by DFT (GGA+U).
Kinematic intensities with the Lorentz-polarization factor, no thermal factor.

```
data_BaNpNiO6
_chemical_formula_sum 'Ba2 Np2 Ni2 O12'
_cell_length_a 5.467
_cell_length_b 9.022
_cell_length_c 5.874
_cell_angle_alpha 90.00
_cell_angle_beta 92.01
_cell_angle_gamma 90.00
_symmetry_space_group_name_H-M 'C 1 2 1'
_symmetry_Int_Tables_number 5
_symmetry_space_group_name_Hall 'C 2y'
loop_
_atom_site_label
_atom_site_type_symbol
_atom_site_fract_x
_atom_site_fract_y
_atom_site_fract_z
_atom_site_occupancy
Ba1 Ba 0.000 0.000 0.000 1
Np1 Np 0.000 0.345 0.500 1
Ni1 Ni 0.000 0.680 0.500 1
O1 O 0.119 0.520 0.692 1
O2 O 0.176 0.205 0.706 1
O3 O 0.181 0.823 0.679 1
```

Most intense lines, 2θ from 15° to 90°, most intense first:
index  d/Å  I_rel
1 1 -1  3.711  100
1 1 1  3.604  92
0 2 1  3.577  86
0 0 1  5.871  58
1 3 0  2.635  56
1 3 2  1.944  41
2 0 0  2.732  33
0 0 2  2.935  33
1 1 0  4.674  30
1 3 -2  1.977  29